(1)
# La3MnFeS7
Simulated PXRD pattern, copper Kα. Input: DFT lattice parameters and positions (PBE).
Peak positions follow from Bragg's law for the DFT cell and can differ from measured ones.

Crystal structure
abc: 10.2345 10.2345 6.0425
angles: 90.00 90.00 120.00
Space group P6_3 (No. 173)
Symmetry-distinct sites (fractional):
1 La 0.1413 0.7637 0.0000 [6 per cell]
2 Mn 0.0000 0.0000 0.2755 [2 per cell]
3 Fe 0.3333 0.6667 0.4145 [2 per cell]
4 S 0.0870 0.8545 0.5379 [6 per cell]
5 S 0.0998 0.5171 0.2733 [6 per cell]
6 S 0.3333 0.6667 0.7852 [2 per cell]

Largest 10 diffraction maxima, low angle first, 2θ from 15° to 90°:
h k l, 2θ/deg, I_rel
1 0 1, 17.8, 28.1
1 1 1, 22.8, 30.4
2 0 1, 24.9, 100.0
2 1 0, 26.6, 35.9
3 0 1, 33.8, 40.9
2 2 0, 35.1, 34.4
2 0 2, 36.0, 41.8
1 3 1, 39.6, 36.5
2 1 2, 40.2, 32.5
4 1 1, 49.5, 26.4

(2)
# La6FeSn2N
Simulated PXRD pattern, copper Kα. Input: DFT lattice parameters and positions (PBE).
Peak positions follow from Bragg's law for the DFT cell and can differ from measured ones.

Crystal structure
abc: 10.391 10.717 7.306
angles: 90.00 134.68 90.00
Space group Cm (No. 8)
Symmetry-distinct sites (fractional):
1 La 0.000 0.000 0.000 [2 per cell]
2 La 0.000 0.000 0.495 [2 per cell]
3 La 0.005 0.500 0.004 [2 per cell]
4 La 0.005 0.500 0.501 [2 per cell]
5 La 0.258 0.233 0.005 [4 per cell]
6 Fe 0.197 0.500 0.945 [2 per cell]
7 Sn 0.249 0.249 0.496 [4 per cell]
8 N 0.226 0.000 0.974 [2 per cell]

Largest 10 diffraction maxima, low angle first, 2θ from 15° to 90°:
h k l, 2θ/deg, I_rel
2 2 0, 29.4, 100.0
2 2 -2, 29.6, 95.1
0 4 0, 33.4, 44.1
0 0 2, 34.5, 82.4
0 4 2, 48.8, 59.0
4 0 -4, 49.9, 14.8
2 2 2, 58.6, 30.9
6 2 -4, 59.0, 28.3
4 4 0, 60.9, 14.1
4 4 -4, 61.4, 15.1

(3)
# LaNd2Fe
Simulated PXRD pattern, copper Kα. Input: DFT lattice parameters and positions (PBE).
Peak positions follow from Bragg's law for the DFT cell and can differ from measured ones.

Crystal structure
abc: 3.6062 3.6062 32.6613
angles: 90.00 90.00 120.00
Space group R-3m (No. 166, hexagonal axes)
Symmetry-distinct sites (fractional):
1 La 0.0000 0.0000 0.0000 [3 per cell]
2 Nd 0.0000 0.0000 0.1088 [6 per cell]
3 Fe 0.0000 0.0000 0.5000 [3 per cell]

Largest 10 diffraction maxima, low angle first, 2θ from 15° to 90°:
h k l, 2θ/deg, I_rel
0 0 9, 24.5, 72.2
1 0 1, 28.7, 100.0
0 1 2, 29.1, 69.4
0 1 5, 31.8, 34.3
0 1 8, 36.2, 92.8
1 0 10, 39.9, 88.6
1 1 0, 50.6, 53.5
1 1 9, 57.0, 43.2
0 2 10, 66.4, 19.4
1 1 18, 74.1, 32.4

(4)
# La3NdTlFe
Simulated PXRD pattern, copper Kα. Input: DFT lattice parameters and positions (PBE).
Peak positions follow from Bragg's law for the DFT cell and can differ from measured ones.

Crystal structure
abc: 17.202 7.251 6.147
angles: 90.00 110.39 90.00
Space group C2/m (No. 12)
Symmetry-distinct sites (fractional):
1 La 0.118 0.243 0.106 [8 per cell]
2 La 0.190 0.500 0.703 [4 per cell]
3 Nd 0.000 0.236 0.500 [4 per cell]
4 Tl 0.192 0.000 0.690 [4 per cell]
5 Fe 0.025 0.500 0.850 [4 per cell]

Largest 10 diffraction maxima, low angle first, 2θ from 15° to 90°:
h k l, 2θ/deg, I_rel
2 2 0, 27.0, 50.6
2 0 -2, 29.1, 100.0
4 0 1, 31.2, 61.5
6 0 -1, 31.5, 65.7
2 2 1, 33.1, 93.6
4 2 -1, 33.2, 99.8
0 2 2, 40.0, 32.5
4 2 -2, 40.1, 25.9
8 2 0, 51.9, 33.0
6 2 2, 60.4, 37.6

(5)
# LaFeNi2
Simulated PXRD pattern, copper Kα. Input: DFT lattice parameters and positions (PBE).
Peak positions follow from Bragg's law for the DFT cell and can differ from measured ones.

Crystal structure
abc: 7.149 4.129 5.424
angles: 90.00 116.29 90.00
Space group Cm (No. 8)
Symmetry-distinct sites (fractional):
1 La 0.000 0.000 0.000 [2 per cell]
2 Fe 0.187 0.000 0.561 [2 per cell]
3 Ni 0.004 0.500 0.513 [2 per cell]
4 Ni 0.309 0.500 0.429 [2 per cell]

Largest 10 diffraction maxima, low angle first, 2θ from 15° to 90°:
h k l, 2θ/deg, I_rel
2 0 -1, 25.7, 56.4
1 1 -1, 27.8, 41.3
2 0 -2, 35.1, 25.1
1 1 1, 35.2, 50.0
0 0 2, 37.0, 41.6
1 1 -2, 39.8, 29.7
0 2 0, 43.9, 100.0
0 2 2, 58.6, 41.5
3 1 1, 58.8, 20.5
6 0 -2, 80.6, 15.4

(6)
# La8FeNi2
Simulated PXRD pattern, copper Kα. Input: DFT lattice parameters and positions (PBE).
Peak positions follow from Bragg's law for the DFT cell and can differ from measured ones.

Crystal structure
abc: 7.293 7.326 7.398
angles: 90.97 119.53 90.11
Space group P-1 (No. 2)
Symmetry-distinct sites (fractional):
1 La 0.205 0.394 0.410 [2 per cell]
2 La 0.218 0.250 0.925 [2 per cell]
3 La 0.289 0.906 0.580 [2 per cell]
4 La 0.293 0.752 0.076 [2 per cell]
5 Fe 0.000 0.500 0.000 [1 per cell]
6 Ni 0.099 0.057 0.199 [2 per cell]

Largest 10 diffraction maxima, low angle first, 2θ from 15° to 90°:
h k l, 2θ/deg, I_rel
0 0 2, 27.7, 37.0
2 0 0, 28.1, 100.0
1 2 0, 28.3, 72.7
0 1 -2, 30.1, 38.9
0 1 2, 30.6, 36.7
-2 1 2, 30.8, 26.7
-2 2 1, 34.7, 65.6
1 -1 2, 38.9, 21.6
4 0 -2, 50.0, 27.7
2 1 2, 51.2, 27.5